The following is a calculated powder XRD pattern of LiCoCuO4. It was derived from a crystal structure in Alexandria, relaxed with PBE+U, using Cu Kα (weighted mean of Kα1 and Kα2).

Peak list (10 most intense, 2θ from 15° to 90°, in order of rising 2θ)
18.22°, rel. 100.0; 36.42°, rel. 10.2; 37.15°, rel. 23.7; 38.02°, rel. 7.7; 42.60°, rel. 18.6; 45.09°, rel. 32.8; 47.28°, rel. 6.8; 59.02°, rel. 8.8; 62.05°, rel. 9.3; 65.45°, rel. 13.8

Structure:
Cell lengths 4.955, 2.851, 5.273 Å; angles 90.00, 112.55, 90.00 degrees
Atoms (fractional coordinates):
Li1 0.000 0.000 0.000
Co1 0.500 0.000 0.500
Cu1 0.000 0.500 0.500
O1 0.250 0.000 0.698
O2 0.259 0.500 0.285
O3 0.741 0.500 0.715
O4 0.750 0.000 0.302

***

The following is a calculated powder XRD pattern of Li3Co2Cu3O10. It was derived from a crystal structure in Alexandria, relaxed with PBE+U, using Cu Kα (weighted mean of Kα1 and Kα2).

Peak list (10 most intense, 2θ from 15° to 90°, in order of rising 2θ)
19.10°, rel. 100.0; 19.88°, rel. 21.4; 28.92°, rel. 31.0; 32.32°, rel. 30.7; 34.02°, rel. 17.5; 34.59°, rel. 30.1; 38.75°, rel. 38.4; 39.63°, rel. 21.5; 44.26°, rel. 18.6; 46.22°, rel. 26.6

Structure:
Cell lengths 5.323, 5.911, 7.117 Å; angles 80.16, 77.53, 74.10 degrees
Atoms (fractional coordinates):
Li1 0.000 0.000 0.000
Li2 0.466 0.628 0.300
Li3 0.534 0.372 0.700
Co1 0.209 0.920 0.582
Co2 0.791 0.080 0.418
Cu1 0.000 0.500 0.500
Cu2 0.278 0.337 0.131
Cu3 0.722 0.663 0.869
O1 0.076 0.743 0.843
O2 0.096 0.796 0.371
O3 0.312 0.563 0.912
O4 0.381 0.344 0.471
O5 0.404 0.140 0.357
O6 0.596 0.860 0.643
O7 0.619 0.656 0.529
O8 0.688 0.437 0.088
O9 0.904 0.204 0.629
O10 0.924 0.257 0.157

***

The following is a calculated powder XRD pattern of Li3Co2Cu3O10. It was derived from a crystal structure in Alexandria, relaxed with PBE+U, using Cu Kα (weighted mean of Kα1 and Kα2).

Peak list (10 most intense, 2θ from 15° to 90°, in order of rising 2θ)
18.32°, rel. 100.0; 18.74°, rel. 36.1; 22.22°, rel. 25.2; 26.52°, rel. 16.2; 36.81°, rel. 24.5; 37.12°, rel. 25.2; 42.32°, rel. 48.2; 44.33°, rel. 46.2; 45.36°, rel. 42.6; 65.03°, rel. 24.4

Structure:
Cell lengths 5.027, 5.278, 7.389 Å; angles 108.61, 99.89, 102.61 degrees
Atoms (fractional coordinates):
Li1 0.000 0.000 0.000
Li2 0.284 0.565 0.081
Li3 0.716 0.435 0.919
Co1 0.388 0.808 0.806
Co2 0.612 0.192 0.194
Cu1 0.198 0.386 0.403
Cu2 0.500 0.000 0.500
Cu3 0.802 0.614 0.597
O1 0.055 0.645 0.843
O2 0.182 0.768 0.545
O3 0.291 0.037 0.275
O4 0.393 0.170 0.954
O5 0.444 0.461 0.666
O6 0.556 0.539 0.334
O7 0.607 0.830 0.046
O8 0.709 0.963 0.725
O9 0.818 0.232 0.455
O10 0.945 0.355 0.157